(1)
Starting from a GGA+U-relaxed structure, the powder diffractogram of CoAgPO4 was simulated for Cu Kα (weighted mean of Kα1 and Kα2).
No peak broadening, texture or thermal motion is included.

Structure:
Cell: 5.754 6.608 9.622 Å, 75.12 79.11 78.94°
Fractional positions:
Co (0.164, 0.060, 0.210)
Co (0.285, 0.174, 0.563)
Co (0.715, 0.826, 0.437)
Co (0.836, 0.940, 0.790)
Ag (0.182, 0.387, 0.870)
Ag (0.320, 0.527, 0.237)
Ag (0.680, 0.473, 0.763)
Ag (0.818, 0.613, 0.130)
P (0.181, 0.718, 0.529)
P (0.311, 0.864, 0.900)
P (0.689, 0.136, 0.100)
P (0.819, 0.282, 0.471)
O (0.076, 0.208, 0.393)
O (0.123, 0.734, 0.879)
O (0.151, 0.777, 0.363)
O (0.256, 0.479, 0.583)
O (0.266, 0.889, 0.057)
O (0.281, 0.083, 0.788)
O (0.367, 0.845, 0.552)
O (0.427, 0.252, 0.134)
O (0.573, 0.748, 0.866)
O (0.633, 0.155, 0.448)
O (0.719, 0.917, 0.212)
O (0.734, 0.111, 0.943)
O (0.744, 0.521, 0.417)
O (0.849, 0.223, 0.637)
O (0.877, 0.266, 0.121)
O (0.924, 0.792, 0.607)

Top 12 peaks for 2θ from 10° to 90°, by angle:
d_spacing  2theta  I_rel
6.313  14.03  11
3.066  29.13  27
2.935  30.46  60
2.920  30.62  21
2.872  31.14  30
2.791  32.07  100
2.594  34.58  31
2.535  35.41  29
2.444  36.77  14
2.366  38.03  11
2.320  38.82  11
1.815  50.26  25

=====

(2)
Starting from a GGA+U-relaxed structure, the powder diffractogram of Co2Ag3SbO6 was simulated for Cu Kα (weighted mean of Kα1 and Kα2).
No peak broadening, texture or thermal motion is included.

Structure:
Cell: 5.446 5.446 18.973 Å, 90.00 90.00 120.00°
Fractional positions:
Co (0.107, 0.215, 0.167)
Co (0.107, 0.893, 0.833)
Co (0.119, 0.559, 0.500)
Co (0.441, 0.559, 0.833)
Co (0.441, 0.881, 0.167)
Co (0.785, 0.893, 0.500)
Ag (0.096, 0.548, 0.000)
Ag (0.111, 0.221, 0.667)
Ag (0.111, 0.889, 0.333)
Ag (0.450, 0.225, 0.000)
Ag (0.452, 0.548, 0.333)
Ag (0.452, 0.904, 0.667)
Ag (0.775, 0.225, 0.333)
Ag (0.775, 0.550, 0.667)
Ag (0.779, 0.889, 0.000)
Sb (0.454, 0.227, 0.500)
Sb (0.773, 0.227, 0.833)
Sb (0.773, 0.546, 0.167)
O (0.092, 0.544, 0.112)
O (0.092, 0.549, 0.888)
O (0.094, 0.226, 0.779)
O (0.094, 0.867, 0.221)
O (0.133, 0.226, 0.555)
O (0.133, 0.906, 0.445)
O (0.451, 0.544, 0.221)
O (0.451, 0.908, 0.779)
O (0.456, 0.227, 0.111)
O (0.456, 0.230, 0.889)
O (0.456, 0.549, 0.445)
O (0.456, 0.908, 0.555)
O (0.770, 0.227, 0.222)
O (0.770, 0.544, 0.778)
O (0.773, 0.230, 0.445)
O (0.773, 0.544, 0.555)
O (0.774, 0.867, 0.112)
O (0.774, 0.906, 0.888)

Top 12 peaks for 2θ from 10° to 90°, by angle:
d_spacing  2theta  I_rel
3.162  28.22  44
2.695  33.24  9
2.617  34.26  100
2.362  38.11  50
1.788  51.07  36
1.572  58.73  24
1.557  59.37  22
1.408  66.41  22
1.348  69.78  11
1.309  72.19  8
1.181  81.52  8
1.115  87.50  11

=====

(3)
Starting from a GGA+U-relaxed structure, the powder diffractogram of CrNiAg2F7 was simulated for Cu Kα (weighted mean of Kα1 and Kα2).
No peak broadening, texture or thermal motion is included.

Structure:
Cell: 7.524 7.524 7.524 Å, 120.66 90.91 118.31°
Fractional positions:
Cr (0.500, 0.000, 0.000)
Cr (0.500, 0.500, 0.500)
Ni (0.000, 0.000, 0.000)
Ni (0.500, 0.000, 0.500)
Ag (0.000, 0.000, 0.500)
Ag (0.000, 0.500, 0.000)
Ag (0.000, 0.500, 0.500)
Ag (0.500, 0.500, 0.000)
F (0.134, 0.227, 0.906)
F (0.179, 0.773, 0.406)
F (0.201, 0.276, 0.318)
F (0.201, 0.882, 0.925)
F (0.415, 0.665, 0.750)
F (0.457, 0.276, 0.575)
F (0.457, 0.882, 0.182)
F (0.543, 0.118, 0.818)
F (0.543, 0.724, 0.425)
F (0.585, 0.335, 0.250)
F (0.799, 0.118, 0.075)
F (0.799, 0.724, 0.682)
F (0.821, 0.227, 0.594)
F (0.866, 0.773, 0.094)

Top 12 peaks for 2θ from 10° to 90°, by angle:
d_spacing  2theta  I_rel
3.115  28.66  100
3.043  29.35  92
2.680  33.44  39
2.639  33.97  18
2.428  37.03  17
1.929  47.11  12
1.880  48.41  59
1.862  48.91  16
1.629  56.48  31
1.599  57.64  41
1.557  59.35  12
1.214  78.85  12

=====

(4)
Starting from a GGA+U-relaxed structure, the powder diffractogram of ScCr2AgH4O10 was simulated for Cu Kα (weighted mean of Kα1 and Kα2).
No peak broadening, texture or thermal motion is included.

Structure:
Cell: 5.716 6.183 7.313 Å, 110.04 91.54 116.02°
Fractional positions:
Sc (0.000, 0.000, 0.000)
Cr (0.364, 0.766, 0.684)
Cr (0.636, 0.234, 0.316)
Ag (0.000, 0.000, 0.500)
H (0.231, 0.483, 0.958)
H (0.276, 0.546, 0.198)
H (0.724, 0.454, 0.802)
H (0.769, 0.517, 0.042)
O (0.173, 0.923, 0.748)
O (0.205, 0.408, 0.061)
O (0.226, 0.492, 0.720)
O (0.321, 0.042, 0.180)
O (0.375, 0.698, 0.450)
O (0.625, 0.302, 0.550)
O (0.679, 0.958, 0.820)
O (0.774, 0.508, 0.280)
O (0.795, 0.592, 0.939)
O (0.827, 0.077, 0.252)

Top 12 peaks for 2θ from 10° to 90°, by angle:
d_spacing  2theta  I_rel
6.717  13.18  69
5.105  17.37  92
3.460  25.75  57
3.132  28.50  49
3.110  28.71  100
3.053  29.25  49
3.038  29.40  74
2.946  30.34  58
2.902  30.81  43
2.857  31.31  92
2.157  41.88  33
1.837  49.63  42

=====

(5)
Starting from a GGA+U-relaxed structure, the powder diffractogram of LaMgCrAgO6 was simulated for Cu Kα (weighted mean of Kα1 and Kα2).
No peak broadening, texture or thermal motion is included.

Structure:
Cell: 5.516 5.641 7.821 Å, 89.93 89.37 89.89°
Fractional positions:
La (0.000, 0.000, 0.000)
La (0.499, 0.621, 0.499)
Mg (0.028, 0.113, 0.491)
Mg (0.528, 0.508, 0.990)
Cr (0.014, 0.547, 0.745)
Cr (0.514, 0.074, 0.245)
Ag (0.016, 0.557, 0.248)
Ag (0.515, 0.063, 0.748)
O (0.125, 0.834, 0.678)
O (0.164, 0.612, 0.974)
O (0.194, 0.887, 0.311)
O (0.270, 0.350, 0.686)
O (0.322, 0.292, 0.341)
O (0.395, 0.152, 0.020)
O (0.626, 0.786, 0.178)
O (0.664, 0.009, 0.476)
O (0.693, 0.736, 0.810)
O (0.768, 0.269, 0.185)
O (0.822, 0.331, 0.842)
O (0.895, 0.468, 0.521)

Top 12 peaks for 2θ from 10° to 90°, by angle:
d_spacing  2theta  I_rel
4.575  19.40  31
4.531  19.59  14
4.484  19.80  20
2.820  31.73  26
2.788  32.11  72
2.763  32.40  100
2.368  38.01  26
1.972  46.03  27
1.955  46.45  16
1.607  57.34  14
1.603  57.51  25
1.590  58.02  17

=====

(6)
Starting from a GGA+U-relaxed structure, the powder diffractogram of MgCr2Ag2O8 was simulated for Cu Kα (weighted mean of Kα1 and Kα2).
No peak broadening, texture or thermal motion is included.

Structure:
Cell: 6.520 5.556 5.556 Å, 69.94 90.00 90.00°
Fractional positions:
Mg (0.000, 0.000, 0.000)
Cr (0.000, 0.702, 0.702)
Cr (0.500, 0.983, 0.983)
Ag (0.262, 0.345, 0.345)
Ag (0.738, 0.345, 0.345)
O (0.000, 0.031, 0.615)
O (0.000, 0.615, 0.031)
O (0.203, 0.596, 0.596)
O (0.278, 0.086, 0.086)
O (0.500, 0.087, 0.668)
O (0.500, 0.668, 0.087)
O (0.722, 0.086, 0.086)
O (0.797, 0.596, 0.596)

Top 12 peaks for 2θ from 10° to 90°, by angle:
d_spacing  2theta  I_rel
5.219  16.99  34
4.553  19.50  32
4.074  21.81  21
3.184  28.02  48
2.765  32.38  100
2.740  32.68  54
2.277  39.57  18
2.037  44.47  24
1.866  48.79  17
1.746  52.41  16
1.740  52.61  17
1.610  57.21  32

=====

(7)
Starting from a GGA+U-relaxed structure, the powder diffractogram of MgCr3AgO8 was simulated for Cu Kα (weighted mean of Kα1 and Kα2).
No peak broadening, texture or thermal motion is included.

Structure:
Cell: 5.254 5.254 6.626 Å, 90.08 90.08 65.80°
Fractional positions:
Mg (0.000, 0.000, 0.000)
Cr (0.021, 0.021, 0.519)
Cr (0.317, 0.317, 0.969)
Cr (0.661, 0.661, 0.752)
Ag (0.666, 0.666, 0.260)
O (0.381, 0.887, 0.542)
O (0.404, 0.404, 0.187)
O (0.408, 0.939, 0.964)
O (0.434, 0.434, 0.769)
O (0.887, 0.381, 0.542)
O (0.891, 0.891, 0.732)
O (0.930, 0.930, 0.289)
O (0.939, 0.408, 0.964)

Top 12 peaks for 2θ from 10° to 90°, by angle:
d_spacing  2theta  I_rel
4.792  18.51  27
4.411  20.13  23
3.885  22.89  44
3.670  24.25  22
2.854  31.34  42
2.725  32.87  100
2.615  34.30  61
1.942  46.78  25
1.836  49.65  17
1.687  54.40  16
1.622  56.77  17
1.544  59.91  32

=====

(8)
Starting from a GGA+U-relaxed structure, the powder diffractogram of MgCr2Ag2O8 was simulated for Cu Kα (weighted mean of Kα1 and Kα2).
No peak broadening, texture or thermal motion is included.

Structure:
Cell: 5.442 5.442 7.354 Å, 91.73 91.73 71.09°
Fractional positions:
Mg (0.000, 0.000, 0.000)
Cr (0.156, 0.156, 0.731)
Cr (0.844, 0.844, 0.269)
Ag (0.500, 0.500, 0.000)
Ag (0.500, 0.500, 0.500)
O (0.169, 0.756, 0.239)
O (0.244, 0.831, 0.761)
O (0.252, 0.252, 0.935)
O (0.256, 0.256, 0.549)
O (0.744, 0.744, 0.451)
O (0.748, 0.748, 0.065)
O (0.756, 0.169, 0.239)
O (0.831, 0.244, 0.761)

Top 12 peaks for 2θ from 10° to 90°, by angle:
d_spacing  2theta  I_rel
5.147  17.23  65
4.425  20.07  65
4.259  20.86  29
4.174  21.29  57
3.730  23.86  30
3.163  28.21  96
3.022  29.56  85
2.960  30.19  100
2.673  33.52  72
2.397  37.52  41
2.129  42.45  51
2.087  43.36  30